The following is a theoretical PXRD pattern of Li2TmZn2. It was derived from a structure optimized by DFT (GGA-PBE), using Cu Kα (λ = 1.5418 Å).

The 8 most intense peaks (2θ = 10–80°), by angle:
- 2θ = 26.71°, intensity 19, hkl 0 1 5
- 2θ = 33.72°, intensity 80, hkl 1 1 2
- 2θ = 35.95°, intensity 100, hkl 1 0 7
- 2θ = 37.82°, intensity 45, hkl 0 1 9
- 2θ = 40.75°, intensity 24, hkl 0 2 0
- 2θ = 44.26°, intensity 26, hkl 0 1 11
- 2θ = 55.46°, intensity 24, hkl 1 2 7
- 2θ = 69.75°, intensity 21, hkl 1 2 13

Crystal structure
```
data_Li2TmZn2
_chemical_formula_sum 'Li8 Tm4 Zn8'
_cell_length_a 3.4433
_cell_length_b 4.4285
_cell_length_c 25.3845
_cell_angle_alpha 90.00
_cell_angle_beta 90.00
_cell_angle_gamma 90.00
_symmetry_space_group_name_H-M 'I m m a'
_symmetry_Int_Tables_number 74
_symmetry_space_group_name_Hall '-I 2b 2'
loop_
_atom_site_label
_atom_site_type_symbol
_atom_site_fract_x
_atom_site_fract_y
_atom_site_fract_z
Li1 Li 0.0000 0.2500 0.1937
Li2 Li 0.0000 0.2500 0.7053
Tm1 Tm 0.0000 0.2500 0.4242
Zn1 Zn 0.0000 0.2500 0.8737
Zn2 Zn 0.0000 0.2500 0.9753
```